Record 1
Computed X-ray diffraction stick pattern of Cs3In2Br9 for CuKα, from a crystal structure in Alexandria, relaxed with GGA-PBE.

Structural model:
```
Cs3In2Br9
1.0
7.9213 0.0000 0.0000
-3.9606 6.8600 0.0000
0.0000 0.0000 20.1803
Cs In Br
6 4 18
Cartesian
0.0000 0.0000 5.0451 Cs
0.0000 0.0000 15.1352 Cs
0.0000 4.5733 1.3953 Cs
0.0000 4.5733 8.6948 Cs
3.9606 2.2867 11.4855 Cs
3.9606 2.2867 18.7850 Cs
0.0000 4.5733 13.2345 In
0.0000 4.5733 17.0360 In
3.9606 2.2867 3.1443 In
3.9606 2.2867 6.9458 In
-1.8344 3.5143 15.1352 Br
0.0000 2.3094 11.9008 Br
0.0000 2.3094 18.3697 Br
-1.9606 5.7053 11.9008 Br
-1.9606 5.7053 18.3697 Br
2.0000 1.1547 1.8106 Br
2.0000 1.1547 8.2795 Br
1.8344 3.5143 15.1352 Br
0.0000 6.6915 15.1352 Br
3.9606 0.1685 5.0451 Br
2.1262 3.3457 5.0451 Br
1.9606 5.7053 11.9008 Br
1.9606 5.7053 18.3697 Br
5.9212 1.1547 1.8106 Br
5.9212 1.1547 8.2795 Br
3.9606 4.5506 1.8106 Br
3.9606 4.5506 8.2795 Br
5.7950 3.3457 5.0451 Br
```

Principal peaks in the range 2θ = 10–90°, most intense first:
(hkl)  d (Å)  Position (°2θ)  I_rel
2 0 3  3.056  29.2  1000
2 0 4  2.837  31.5  904
2 0 2  3.247  27.5  871
2 2 0  1.980  45.8  710
1 0 1  6.495  13.6  536
2 0 5  2.614  34.3  487
0 0 6  3.363  26.5  447
1 1 0  3.961  22.4  387
1 0 5  3.479  25.6  380
2 2 6  1.707  53.7  360
2 1 5  2.181  41.4  325
2 0 9  1.877  48.5  299



Record 2
Computed X-ray diffraction stick pattern of CsIn3Br4 for CuKα, from a crystal structure in Alexandria, relaxed with GGA-PBE.

Structural model:
```
CsIn3Br4
1.0
8.9503 0.0000 0.0000
0.0000 8.9503 0.0000
0.0000 0.0000 8.9503
Cs In Br
2 6 8
Cartesian
0.0000 0.0000 0.0000 Cs
4.4752 4.4752 4.4752 Cs
0.0000 2.2376 4.4752 In
0.0000 6.7128 4.4752 In
2.2376 4.4752 0.0000 In
4.4752 0.0000 2.2376 In
4.4752 0.0000 6.7128 In
6.7128 4.4752 0.0000 In
2.2376 2.2376 2.2376 Br
2.2376 2.2376 6.7128 Br
2.2376 6.7128 2.2376 Br
2.2376 6.7128 6.7128 Br
6.7128 2.2376 2.2376 Br
6.7128 2.2376 6.7128 Br
6.7128 6.7128 2.2376 Br
6.7128 6.7128 6.7128 Br
```

Principal peaks in the range 2θ = 10–90°, most intense first:
(hkl)  d (Å)  Position (°2θ)  I_rel
2 1 0  4.003  22.2  1000
2 1 1  3.654  24.4  890
4 0 0  2.238  40.3  623
2 2 0  3.164  28.2  593
2 2 2  2.584  34.7  586
3 2 1  2.392  37.6  565
4 4 0  1.582  58.3  410
3 2 0  2.482  36.2  284
4 2 1  1.953  46.5  275
5 2 0  1.662  55.3  242
4 2 2  1.827  49.9  234
6 2 2  1.349  69.7  218



Record 3
Computed X-ray diffraction stick pattern of Cs2InBr6 for CuKα, from a crystal structure in Alexandria, relaxed with GGA-PBE.

Structural model:
```
Cs2InBr6
1.0
7.7091 0.0000 0.0000
-3.8546 6.6763 0.0000
0.0000 0.0000 13.4702
Cs In Br
4 2 12
Cartesian
0.0000 0.0000 0.0000 Cs
0.0000 0.0000 6.7351 Cs
0.0000 4.4509 3.4847 Cs
3.8546 2.2254 10.2198 Cs
0.0000 4.4509 8.4746 In
3.8546 2.2254 1.7395 In
-1.8859 3.3620 6.8718 Br
0.0000 2.2337 10.0381 Br
-1.9202 5.5595 10.0381 Br
1.9344 1.1168 3.3030 Br
1.8859 3.3620 6.8718 Br
0.0000 6.6286 6.8718 Br
3.8546 0.0477 0.1367 Br
1.9686 3.3143 0.1367 Br
1.9202 5.5595 10.0381 Br
5.7747 1.1168 3.3030 Br
3.8546 4.4427 3.3030 Br
5.7405 3.3143 0.1367 Br
```

Principal peaks in the range 2θ = 10–90°, most intense first:
(hkl)  d (Å)  Position (°2θ)  I_rel
2 0 2  2.991  29.9  1000
2 0 3  2.679  33.4  363
2 2 0  1.927  47.2  324
0 0 4  3.368  26.5  281
2 0 1  3.240  27.5  266
2 0 6  1.863  48.9  235
2 2 4  1.673  54.9  212
2 0 5  2.096  43.2  183
4 0 2  1.620  56.8  164
2 2 8  1.268  74.9  148
1 0 1  5.982  14.8  143
1 1 0  3.855  23.1  134